No. 1
# Sm2Pt15Au2
Theoretical powder diffraction line list, λ = 1.5418 Å (Cu Kα). Input: a crystal structure in Alexandria, relaxed with GGA-PBE.
No peak broadening, texture or thermal motion is included.

Peak list (10 most intense, 10 to 90 degrees two-theta, in order of rising 2θ)
hkl 3 0 0, 2θ 33.16, I = 35
hkl 2 2 0, 2θ 38.48, I = 54
hkl 0 3 3, 2θ 38.95, I = 100
hkl 0 0 6, 2θ 40.32, I = 46
hkl 2 2 3, 2θ 43.66, I = 99
hkl 1 1 6, 2θ 44.92, I = 28
hkl 3 3 3, 2θ 63.13, I = 22
hkl 6 0 0, 2θ 69.60, I = 33
hkl 0 3 9, 2θ 72.39, I = 26
hkl 6 0 6, 2θ 83.63, I = 25

Structure:
Unit cell a=9.3586 b=9.3586 c=13.4201 alpha=90.00 beta=90.00 gamma=120.00
Space group R-3m (No. 166, hexagonal axes)
Inequivalent atoms, fractional coordinates:
Sm: 0.0000 0.0000 0.1553 x6
Pt: 0.0000 0.3170 0.5000 x18
Pt: 0.0000 0.5000 0.0000 x9
Pt: 0.0064 0.5032 0.6591 x18
Au: 0.0000 0.0000 0.3951 x6

=====

No. 2
# Sm2PtAu2
Theoretical powder diffraction line list, λ = 1.5418 Å (Cu Kα). Input: a crystal structure in Alexandria, relaxed with GGA-PBE.
No peak broadening, texture or thermal motion is included.

Peak list (10 most intense, 10 to 90 degrees two-theta, in order of rising 2θ)
hkl 1 0 0, 2θ 23.74, I = 14
hkl 1 1 1, 2θ 32.70, I = 97
hkl 1 0 4, 2θ 33.75, I = 38
hkl 0 1 5, 2θ 36.87, I = 100
hkl 0 2 0, 2θ 43.45, I = 45
hkl 1 1 5, 2θ 44.31, I = 17
hkl 2 0 0, 2θ 48.59, I = 21
hkl 1 2 4, 2θ 56.15, I = 18
hkl 2 1 5, 2θ 62.50, I = 31
hkl 2 2 0, 2θ 67.23, I = 16

Structure:
Unit cell a=3.7474 b=4.1623 c=15.0538 alpha=90.00 beta=90.00 gamma=90.00
Space group Amm2 (No. 38)
Inequivalent atoms, fractional coordinates:
Sm: 0.0000 0.0000 0.0000 x2
Sm: 0.0000 0.0000 0.2467 x2
Pt: 0.5000 0.0000 0.4397 x2
Au: 0.5000 0.0000 0.6266 x2
Au: 0.5000 0.0000 0.8177 x2